Starting from a GGA-PBE-relaxed structure, the powder X-ray diffraction pattern of RbLa2C6N6ClO6 was calculated for Cu Kα (weighted mean of Kα1 and Kα2).
Lines closer than 0.1° are merged.

Structure:
```
RbLa2C6N6ClO6
1.0
6.840 0.000 0.000
-3.420 5.924 0.000
0.000 0.000 14.728
Rb La C N Cl O
2 4 12 12 2 12
direct
0.333 0.667 0.250
0.667 0.333 0.750
0.333 0.667 0.552
0.333 0.667 0.948
0.667 0.333 0.052
0.667 0.333 0.448
0.045 0.833 0.097
0.045 0.833 0.403
0.167 0.212 0.097
0.167 0.212 0.403
0.212 0.045 0.597
0.212 0.045 0.903
0.788 0.955 0.097
0.788 0.955 0.403
0.833 0.788 0.597
0.833 0.788 0.903
0.955 0.167 0.597
0.955 0.167 0.903
0.045 0.825 0.601
0.045 0.825 0.899
0.175 0.221 0.601
0.175 0.221 0.899
0.221 0.045 0.101
0.221 0.045 0.399
0.779 0.955 0.601
0.779 0.955 0.899
0.825 0.779 0.101
0.825 0.779 0.399
0.955 0.175 0.101
0.955 0.175 0.399
0.333 0.667 0.750
0.667 0.333 0.250
0.078 0.663 0.083
0.078 0.663 0.417
0.337 0.415 0.083
0.337 0.415 0.417
0.415 0.078 0.583
0.415 0.078 0.917
0.585 0.922 0.083
0.585 0.922 0.417
0.663 0.585 0.583
0.663 0.585 0.917
0.922 0.337 0.583
0.922 0.337 0.917
```

Peak list (8 most intense, 15 to 90 degrees two-theta, low angle first)
(hkl), two_theta, d_spacing, I_rel
1 0 3, 23.54, 3.780, 92
1 1 0, 26.05, 3.420, 100
1 0 4, 28.54, 3.127, 31
2 0 3, 35.39, 2.536, 49
1 1 4, 35.84, 2.506, 32
1 2 0, 40.28, 2.239, 31
1 2 3, 44.47, 2.037, 57
3 0 0, 45.96, 1.975, 26